This entry pairs a crystal structure of Ho3P4Pd7 with its simulated X-ray powder pattern. Radiation: Cu Kα, 1.54184 Å. Structure: a GGA-PBE-relaxed structure.
Neutral-atom scattering factors, no anomalous dispersion.

Main lines, in order of falling intensity (5° ≤ 2θ ≤ 70°):
| 2theta | Rel. int. | (hkl) |
| --- | --- | --- |
| 36.15 | 100 | 1 1 2 |
| 37.03 | 70 | 5 1 -2 |
| 36.54 | 48 | 6 0 -3 |
| 45.44 | 46 | 0 2 0 |
| 43.43 | 34 | 6 0 0 |
| 38.39 | 30 | 4 0 -4 |
| 39.76 | 25 | 5 1 -3 |
| 37.51 | 21 | 3 1 1 |

Structure:
```
data_Ho3P4Pd7
_cell_length_a 15.3545
_cell_length_b 3.9921
_cell_length_c 9.3846
_cell_angle_alpha 90.00
_cell_angle_beta 125.49
_cell_angle_gamma 90.00
_symmetry_space_group_name_H-M 'C 1 2/m 1'
_symmetry_Int_Tables_number 12
loop_
_symmetry_equiv_pos_as_xyz
'x,y,z'
'-x,-y,-z'
'-x,y,-z'
'x,-y,z'
'x+1/2,y+1/2,z'
'-x+1/2,-y+1/2,-z'
'-x+1/2,y+1/2,-z'
'x+1/2,-y+1/2,z'
loop_
_atom_site_label
_atom_site_fract_x
_atom_site_fract_y
_atom_site_fract_z
_atom_site_occupancy
Ho1 0.0000 0.0000 0.0000 1
Ho2 0.1800 0.5000 0.6769 1
P1 0.1063 0.0000 0.8201 1
P2 0.1593 0.5000 0.2530 1
Pd1 0.0000 0.0000 0.5000 1
Pd2 0.0099 0.5000 0.2839 1
Pd3 0.1678 0.0000 0.4207 1
Pd4 0.1948 0.5000 0.0302 1
```

This entry pairs a crystal structure of Pm2HoP3Rh12 with its simulated X-ray powder pattern. Radiation: Cu Kα, 1.54184 Å. Structure: a GGA-PBE-relaxed structure.
Neutral-atom scattering factors, no anomalous dispersion.

Main lines, in order of falling intensity (5° ≤ 2θ ≤ 70°):
| 2theta | Rel. int. | (hkl) |
| --- | --- | --- |
| 40.01 | 100 | 2 2 0 |
| 36.19 | 32 | 0 2 4 |
| 36.77 | 22 | 0 1 5 |
| 33.41 | 19 | 1 2 2 |
| 42.08 | 18 | 0 0 6 |
| 46.85 | 17 | 1 2 5 |
| 28.73 | 17 | 1 1 3 |
| 20.71 | 16 | 0 0 3 |

Structure:
```
data_Pm2HoP3Rh12
_cell_length_a 9.0132
_cell_length_b 9.0132
_cell_length_c 12.8676
_cell_angle_alpha 90.00
_cell_angle_beta 90.00
_cell_angle_gamma 120.00
_symmetry_space_group_name_H-M 'R -3 m'
_symmetry_Int_Tables_number 166
_symmetry_space_group_name_Hall '-R 3 2"'
loop_
_atom_site_label
_atom_site_fract_x
_atom_site_fract_y
_atom_site_fract_z
_atom_site_occupancy
Pm1 0.0000 0.0000 0.1273 1
Ho1 0.0000 0.0000 0.5000 1
P1 0.0000 0.5000 0.0000 1
Rh1 0.0084 0.5042 0.8266 1
Rh2 0.0295 0.5148 0.3811 1
```

This entry pairs a crystal structure of PrHoPS with its simulated X-ray powder pattern. Radiation: Cu Kα, 1.54184 Å. Structure: a GGA-PBE-relaxed structure.
Neutral-atom scattering factors, no anomalous dispersion.

Main lines, in order of falling intensity (5° ≤ 2θ ≤ 70°):
| 2theta | Rel. int. | (hkl) |
| --- | --- | --- |
| 31.21 | 100 | 1 0 4 |
| 27.00 | 61 | 0 1 2 |
| 44.88 | 36 | 1 1 0 |
| 44.55 | 36 | 0 1 8 |
| 26.75 | 21 | 0 0 6 |
| 53.01 | 20 | 1 1 6 |
| 55.67 | 19 | 0 2 4 |
| 65.09 | 12 | 2 0 8 |

Structure:
```
data_PrHoPS
_cell_length_a 4.0393
_cell_length_b 4.0393
_cell_length_c 19.9992
_cell_angle_alpha 90.00
_cell_angle_beta 90.00
_cell_angle_gamma 120.00
_symmetry_space_group_name_H-M 'R 3 m'
_symmetry_Int_Tables_number 160
_symmetry_space_group_name_Hall 'R 3 -2"'
loop_
_atom_site_label
_atom_site_fract_x
_atom_site_fract_y
_atom_site_fract_z
_atom_site_occupancy
Pr1 0.0000 0.0000 0.0000 1
Ho1 0.0000 0.0000 0.5058 1
P1 0.0000 0.0000 0.2478 1
S1 0.0000 0.0000 0.7582 1
```

This entry pairs a crystal structure of Tb2PrHoP4 with its simulated X-ray powder pattern. Radiation: Cu Kα, 1.54184 Å. Structure: a GGA-PBE-relaxed structure.
Neutral-atom scattering factors, no anomalous dispersion.

Main lines, in order of falling intensity (5° ≤ 2θ ≤ 70°):
| 2theta | Rel. int. | (hkl) |
| --- | --- | --- |
| 31.12 | 100 | 2 0 0 |
| 26.87 | 85 | 1 1 2 |
| 44.59 | 73 | 2 2 0 |
| 52.83 | 42 | 1 1 6 |
| 55.38 | 26 | 2 2 4 |
| 64.90 | 12 | 4 0 0 |

Structure:
```
data_Tb2PrHoP4
_cell_length_a 5.7480
_cell_length_b 5.7480
_cell_length_c 11.4903
_cell_angle_alpha 90.00
_cell_angle_beta 90.00
_cell_angle_gamma 90.00
_symmetry_space_group_name_H-M 'I 4/m m m'
_symmetry_Int_Tables_number 139
_symmetry_space_group_name_Hall '-I 4 2'
loop_
_atom_site_label
_atom_site_fract_x
_atom_site_fract_y
_atom_site_fract_z
_atom_site_occupancy
Tb1 0.0000 0.5000 0.2500 1
Pr1 0.0000 0.0000 0.0000 1
Ho1 0.0000 0.0000 0.5000 1
P1 0.0000 0.0000 0.2551 1
P2 0.0000 0.5000 0.0000 1
```

This entry pairs a crystal structure of PrHoTh2P4 with its simulated X-ray powder pattern. Radiation: Cu Kα, 1.54184 Å. Structure: a GGA-PBE-relaxed structure.
Neutral-atom scattering factors, no anomalous dispersion.

Main lines, in order of falling intensity (5° ≤ 2θ ≤ 70°):
| 2theta | Rel. int. | (hkl) |
| --- | --- | --- |
| 30.68 | 100 | 1 1 1 |
| 26.45 | 73 | 0 0 2 |
| 43.84 | 38 | 0 2 0 |
| 44.04 | 37 | 2 0 2 |
| 26.61 | 24 | 2 0 0 |
| 51.95 | 21 | 0 2 2 |
| 54.45 | 20 | 2 2 -2 |
| 52.03 | 16 | 1 1 3 |

Structure:
```
data_PrHoTh2P4
_cell_length_a 7.1144
_cell_length_b 4.1299
_cell_length_c 7.1553
_cell_angle_alpha 90.00
_cell_angle_beta 109.63
_cell_angle_gamma 90.00
_symmetry_space_group_name_H-M 'P 1 2/m 1'
_symmetry_Int_Tables_number 10
loop_
_symmetry_equiv_pos_as_xyz
'x,y,z'
'-x,-y,-z'
'-x,y,-z'
'x,-y,z'
loop_
_atom_site_label
_atom_site_fract_x
_atom_site_fract_y
_atom_site_fract_z
_atom_site_occupancy
Pr1 0.0000 0.0000 0.0000 1
Ho1 0.0000 0.5000 0.5000 1
Th1 0.5000 0.0000 0.5000 1
Th2 0.5000 0.5000 0.0000 1
P1 0.2471 0.0000 0.7434 1
P2 0.2516 0.5000 0.2561 1
```

This entry pairs a crystal structure of RbHoP2Pt4 with its simulated X-ray powder pattern. Radiation: Cu Kα, 1.54184 Å. Structure: a GGA-PBE-relaxed structure.
Neutral-atom scattering factors, no anomalous dispersion.

Main lines, in order of falling intensity (5° ≤ 2θ ≤ 70°):
| 2theta | Rel. int. | (hkl) |
| --- | --- | --- |
| 8.07 | 100 | 0 0 1 |
| 35.44 | 85 | 1 1 2 |
| 40.08 | 62 | 1 1 3 |
| 44.88 | 41 | 2 0 0 |
| 16.18 | 35 | 0 0 2 |
| 24.37 | 25 | 0 0 3 |
| 52.64 | 24 | 1 1 5 |
| 27.43 | 24 | 1 0 2 |

Structure:
```
data_RbHoP2Pt4
_cell_length_a 4.0390
_cell_length_b 4.0390
_cell_length_c 10.9587
_cell_angle_alpha 90.00
_cell_angle_beta 90.00
_cell_angle_gamma 90.00
_symmetry_space_group_name_H-M 'P 4/m m m'
_symmetry_Int_Tables_number 123
_symmetry_space_group_name_Hall '-P 4 2'
loop_
_atom_site_label
_atom_site_fract_x
_atom_site_fract_y
_atom_site_fract_z
_atom_site_occupancy
Rb1 0.0000 0.0000 0.0000 1
Ho1 0.0000 0.0000 0.5000 1
P1 0.5000 0.5000 0.1967 1
Pt1 0.0000 0.5000 0.3057 1
```

This entry pairs a crystal structure of HoPPtRh with its simulated X-ray powder pattern. Radiation: Cu Kα, 1.54184 Å. Structure: a GGA-PBE-relaxed structure.
Neutral-atom scattering factors, no anomalous dispersion.

Main lines, in order of falling intensity (5° ≤ 2θ ≤ 70°):
| 2theta | Rel. int. | (hkl) |
| --- | --- | --- |
| 37.29 | 100 | 1 0 3 |
| 34.24 | 82 | 1 1 1 |
| 47.06 | 53 | 2 0 0 |
| 61.52 | 47 | 2 1 3 |
| 32.80 | 47 | 1 1 0 |
| 45.68 | 33 | 1 0 4 |
| 38.26 | 29 | 1 1 2 |
| 67.68 | 21 | 2 1 4 |

Structure:
```
data_HoPPtRh
_cell_length_a 3.8617
_cell_length_b 3.8617
_cell_length_c 9.2628
_cell_angle_alpha 90.00
_cell_angle_beta 90.00
_cell_angle_gamma 90.00
_symmetry_space_group_name_H-M 'P 4/n m m'
_symmetry_Int_Tables_number 129
loop_
_symmetry_equiv_pos_as_xyz
'x,y,z'
'-x,-y,-z'
'-y+1/2,x,z'
'y+1/2,-x,-z'
'-x+1/2,-y+1/2,z'
'x+1/2,y+1/2,-z'
'y,-x+1/2,z'
'-y,x+1/2,-z'
'x+1/2,-y,-z'
'-x+1/2,y,z'
'-y,-x,-z'
'y,x,z'
'-x,y+1/2,-z'
'x,-y+1/2,z'
'y+1/2,x+1/2,-z'
'-y+1/2,-x+1/2,z'
loop_
_atom_site_label
_atom_site_fract_x
_atom_site_fract_y
_atom_site_fract_z
_atom_site_occupancy
Ho1 0.2500 0.2500 0.2244 1
P1 0.2500 0.2500 0.6527 1
Pt1 0.2500 0.2500 0.9095 1
Rh1 0.2500 0.7500 0.5000 1
```

This entry pairs a crystal structure of Ho3P2Pt2Rh5 with its simulated X-ray powder pattern. Radiation: Cu Kα, 1.54184 Å. Structure: a GGA-PBE-relaxed structure.
Neutral-atom scattering factors, no anomalous dispersion.

Main lines, in order of falling intensity (5° ≤ 2θ ≤ 70°):
| 2theta | Rel. int. | (hkl) |
| --- | --- | --- |
| 38.09 | 100 | 1 1 6 |
| 45.66 | 80 | 2 0 0 |
| 38.34 | 55 | 1 0 9 |
| 32.88 | 47 | 1 0 7 |
| 34.74 | 47 | 1 1 4 |
| 32.60 | 43 | 1 1 2 |
| 31.85 | 38 | 1 1 0 |
| 44.35 | 33 | 1 0 11 |

Structure:
```
data_Ho3P2Pt2Rh5
_cell_length_a 3.9735
_cell_length_b 3.9735
_cell_length_c 26.1900
_cell_angle_alpha 90.00
_cell_angle_beta 90.00
_cell_angle_gamma 90.00
_symmetry_space_group_name_H-M 'I 4/m m m'
_symmetry_Int_Tables_number 139
_symmetry_space_group_name_Hall '-I 4 2'
loop_
_atom_site_label
_atom_site_fract_x
_atom_site_fract_y
_atom_site_fract_z
_atom_site_occupancy
Ho1 0.0000 0.0000 0.0000 1
Ho2 0.0000 0.0000 0.1704 1
P1 0.0000 0.0000 0.3724 1
Pt1 0.0000 0.0000 0.2827 1
Rh1 0.0000 0.0000 0.5000 1
Rh2 0.0000 0.5000 0.0827 1
```

This entry pairs a crystal structure of Sr2HoP3Pt12 with its simulated X-ray powder pattern. Radiation: Cu Kα, 1.54184 Å. Structure: a GGA-PBE-relaxed structure.
Neutral-atom scattering factors, no anomalous dispersion.

Main lines, in order of falling intensity (5° ≤ 2θ ≤ 70°):
| 2theta | Rel. int. | (hkl) |
| --- | --- | --- |
| 31.47 | 100 | 0 2 4 |
| 43.18 | 63 | 2 2 0 |
| 46.96 | 38 | 2 0 8 |
| 34.12 | 29 | 1 2 2 |
| 38.26 | 22 | 2 1 4 |
| 22.98 | 22 | 1 0 4 |
| 54.39 | 15 | 4 0 4 |
| 34.82 | 13 | 2 0 5 |

Structure:
```
data_Sr2HoP3Pt12
_cell_length_a 8.3812
_cell_length_b 8.3812
_cell_length_c 18.2965
_cell_angle_alpha 90.00
_cell_angle_beta 90.00
_cell_angle_gamma 120.00
_symmetry_space_group_name_H-M 'R -3 m'
_symmetry_Int_Tables_number 166
_symmetry_space_group_name_Hall '-R 3 2"'
loop_
_atom_site_label
_atom_site_fract_x
_atom_site_fract_y
_atom_site_fract_z
_atom_site_occupancy
Sr1 0.0000 0.0000 0.1000 1
Ho1 0.0000 0.0000 0.5000 1
P1 0.0000 0.5000 0.0000 1
Pt1 0.0188 0.5094 0.8750 1
Pt2 0.0462 0.5231 0.3573 1
```

This entry pairs a crystal structure of HoTl2P2Pt7 with its simulated X-ray powder pattern. Radiation: Cu Kα, 1.54184 Å. Structure: a GGA-PBE-relaxed structure.
Neutral-atom scattering factors, no anomalous dispersion.

Main lines, in order of falling intensity (5° ≤ 2θ ≤ 70°):
| 2theta | Rel. int. | (hkl) |
| --- | --- | --- |
| 36.59 | 100 | 2 0 2 |
| 45.51 | 69 | 2 2 -1 |
| 32.31 | 50 | 2 0 -2 |
| 44.07 | 49 | 2 0 4 |
| 33.97 | 44 | 2 0 -3 |
| 5.89 | 40 | 0 0 1 |
| 23.71 | 30 | 0 0 4 |
| 11.79 | 28 | 0 0 2 |

Structure:
```
data_HoTl2P2Pt7
_cell_length_a 5.6379
_cell_length_b 5.6380
_cell_length_c 15.2698
_cell_angle_alpha 90.00
_cell_angle_beta 100.57
_cell_angle_gamma 90.00
_symmetry_space_group_name_H-M 'C 1 2/m 1'
_symmetry_Int_Tables_number 12
loop_
_symmetry_equiv_pos_as_xyz
'x,y,z'
'-x,-y,-z'
'-x,y,-z'
'x,-y,z'
'x+1/2,y+1/2,z'
'-x+1/2,-y+1/2,-z'
'-x+1/2,y+1/2,-z'
'x+1/2,-y+1/2,z'
loop_
_atom_site_label
_atom_site_fract_x
_atom_site_fract_y
_atom_site_fract_z
_atom_site_occupancy
Ho1 0.0000 0.0000 0.0000 1
Tl1 0.2095 0.0000 0.4215 1
P1 0.1155 0.5000 0.2322 1
Pt1 0.0000 0.5000 0.0000 1
Pt2 0.1774 0.2500 0.8543 1
Pt3 0.1894 0.5000 0.3818 1
```

This entry pairs a crystal structure of Ho2PuScP4 with its simulated X-ray powder pattern. Radiation: Cu Kα, 1.54184 Å. Structure: a GGA-PBE-relaxed structure.
Neutral-atom scattering factors, no anomalous dispersion.

Main lines, in order of falling intensity (5° ≤ 2θ ≤ 70°):
| 2theta | Rel. int. | (hkl) |
| --- | --- | --- |
| 32.22 | 100 | 1 1 1 |
| 27.78 | 63 | 0 0 2 |
| 46.23 | 48 | 3 1 -1 |
| 54.84 | 24 | 1 1 3 |
| 27.90 | 21 | 2 0 0 |
| 13.84 | 15 | 1 0 0 |
| 54.67 | 14 | 2 2 0 |
| 57.34 | 13 | 2 2 -2 |

Structure:
```
data_Ho2PuScP4
_cell_length_a 6.7838
_cell_length_b 3.9434
_cell_length_c 6.8019
_cell_angle_alpha 90.00
_cell_angle_beta 109.48
_cell_angle_gamma 90.00
_symmetry_space_group_name_H-M 'P 1 2/m 1'
_symmetry_Int_Tables_number 10
loop_
_symmetry_equiv_pos_as_xyz
'x,y,z'
'-x,-y,-z'
'-x,y,-z'
'x,-y,z'
loop_
_atom_site_label
_atom_site_fract_x
_atom_site_fract_y
_atom_site_fract_z
_atom_site_occupancy
Ho1 0.0000 0.0000 0.0000 1
Ho2 0.5000 0.5000 0.0000 1
Pu1 0.0000 0.5000 0.5000 1
Sc1 0.5000 0.0000 0.5000 1
P1 0.2520 0.0000 0.7425 1
P2 0.2577 0.5000 0.2604 1
```

This entry pairs a crystal structure of Ho3PuTh2P6 with its simulated X-ray powder pattern. Radiation: Cu Kα, 1.54184 Å. Structure: a GGA-PBE-relaxed structure.
Neutral-atom scattering factors, no anomalous dispersion.

Main lines, in order of falling intensity (5° ≤ 2θ ≤ 70°):
| 2theta | Rel. int. | (hkl) |
| --- | --- | --- |
| 31.25 | 100 | 6 0 0 |
| 26.95 | 75 | 3 1 0 |
| 44.71 | 37 | 0 2 0 |
| 44.86 | 37 | 7 1 -2 |
| 53.00 | 29 | 4 2 -2 |
| 27.07 | 25 | 4 0 -2 |
| 53.15 | 21 | 5 1 -4 |
| 55.51 | 13 | 6 2 0 |

Structure:
```
data_Ho3PuTh2P6
_cell_length_a 17.6290
_cell_length_b 4.0591
_cell_length_c 8.0722
_cell_angle_alpha 90.00
_cell_angle_beta 103.07
_cell_angle_gamma 90.00
_symmetry_space_group_name_H-M 'C 1 2/m 1'
_symmetry_Int_Tables_number 12
loop_
_symmetry_equiv_pos_as_xyz
'x,y,z'
'-x,-y,-z'
'-x,y,-z'
'x,-y,z'
'x+1/2,y+1/2,z'
'-x+1/2,-y+1/2,-z'
'-x+1/2,y+1/2,-z'
'x+1/2,-y+1/2,z'
loop_
_atom_site_label
_atom_site_fract_x
_atom_site_fract_y
_atom_site_fract_z
_atom_site_occupancy
Ho1 0.0000 0.0000 0.0000 1
Ho2 0.1667 0.5000 0.3340 1
Pu1 0.0000 0.0000 0.5000 1
Th1 0.1647 0.5000 0.8300 1
P1 0.0024 0.5000 0.2517 1
P2 0.1654 0.0000 0.0878 1
P3 0.1671 0.0000 0.5773 1
```